This entry pairs a crystal structure of ThMg2In2Cu with its simulated XRD peak list. Radiation: a wavelength of 1.5418 Å. Structure: a DFT-relaxed cell (PBE, Alexandria).
No peak broadening, texture or thermal motion is included.

Crystal structure
```
data_ThMg2In2Cu
_space_group_name_H-M_alt 'I 4/m m m'
_space_group_IT_number 139
_space_group_name_Hall '-I 4 2'
_cell_length_a 5.413
_cell_length_b 5.413
_cell_length_c 11.398
_cell_angle_alpha 90.00
_cell_angle_beta 90.00
_cell_angle_gamma 90.00
loop_
_atom_site_label
_atom_site_fract_x
_atom_site_fract_y
_atom_site_fract_z
Th1 0.000 0.000 0.000
Mg1 0.000 0.500 0.250
In1 0.000 0.000 0.287
Cu1 0.000 0.000 0.500
```

Top 12 peaks for 2θ from 10° to 90°, in order of rising 2θ:
h k l	Position (°2θ)	d_spacing	I (rel.)
1 0 1	18.14	4.890	148
1 1 0	23.24	3.828	1000
1 0 3	28.71	3.110	481
0 0 4	31.39	2.850	247
2 0 0	33.10	2.707	610
1 1 4	39.42	2.286	331
2 1 3	44.37	2.042	300
2 0 4	46.26	1.962	336
2 2 0	47.51	1.914	220
3 1 0	53.53	1.712	209
2 2 4	58.05	1.589	169
3 1 4	63.39	1.467	163

---

This entry pairs a crystal structure of MnInCuS4 with its simulated XRD peak list. Radiation: a wavelength of 1.5418 Å. Structure: a DFT-relaxed cell (PBE, Alexandria).
No peak broadening, texture or thermal motion is included.

Crystal structure
```
data_MnInCuS4
_space_group_name_H-M_alt 'P 1 m 1'
_space_group_IT_number 6
_space_group_name_Hall 'P -2y'
_cell_length_a 6.216
_cell_length_b 3.819
_cell_length_c 6.793
_cell_angle_alpha 90.00
_cell_angle_beta 90.40
_cell_angle_gamma 90.00
loop_
_atom_site_label
_atom_site_fract_x
_atom_site_fract_y
_atom_site_fract_z
Mn1 0.000 0.000 0.000
In1 0.524 0.000 0.336
Cu1 0.509 0.500 0.835
S1 0.369 0.000 0.985
S2 0.375 0.500 0.520
S3 0.869 0.500 0.872
S4 0.922 0.000 0.308
```

Top 12 peaks for 2θ from 10° to 90°, in order of rising 2θ:
h k l	Position (°2θ)	d_spacing	I (rel.)
1 0 0	14.25	6.216	671
1 0 1	19.42	4.570	258
0 0 2	26.24	3.397	531
0 1 1	26.78	3.329	1000
2 0 0	28.73	3.108	620
1 0 2	30.07	2.972	280
1 1 -1	30.44	2.936	866
2 1 -1	39.60	2.276	392
0 1 3	46.63	1.948	560
0 2 0	47.62	1.910	285
3 1 -1	51.88	1.762	441
3 1 1	52.07	1.756	305

---

This entry pairs a crystal structure of InCuSe2N with its simulated XRD peak list. Radiation: a wavelength of 1.5418 Å. Structure: a DFT-relaxed cell (PBE, Alexandria).
No peak broadening, texture or thermal motion is included.

Crystal structure
```
data_InCuSe2N
_space_group_name_H-M_alt 'P 4/m m m'
_space_group_IT_number 123
_space_group_name_Hall '-P 4 2'
_cell_length_a 5.112
_cell_length_b 5.112
_cell_length_c 3.627
_cell_angle_alpha 90.00
_cell_angle_beta 90.00
_cell_angle_gamma 90.00
loop_
_atom_site_label
_atom_site_fract_x
_atom_site_fract_y
_atom_site_fract_z
In1 0.000 0.000 0.000
Cu1 0.500 0.500 0.500
Se1 0.000 0.500 0.500
N1 0.500 0.500 0.000
```

Top 12 peaks for 2θ from 10° to 90°, in order of rising 2θ:
h k l	Position (°2θ)	d_spacing	I (rel.)
0 0 1	24.57	3.624	73
1 0 1	30.21	2.958	392
2 0 0	35.08	2.558	1000
2 1 1	46.98	1.934	230
0 0 2	50.32	1.813	98
2 2 0	50.49	1.808	194
2 0 2	62.83	1.479	195
3 1 1	62.95	1.477	150
3 2 1	71.43	1.321	63
2 2 2	74.06	1.280	119
4 0 0	74.20	1.278	59
4 2 0	84.80	1.143	117

---

This entry pairs a crystal structure of Sr8In4Cu3N5 with its simulated XRD peak list. Radiation: a wavelength of 1.5418 Å. Structure: a DFT-relaxed cell (PBE, Alexandria).
No peak broadening, texture or thermal motion is included.

Crystal structure
```
data_Sr8In4Cu3N5
_space_group_name_H-M_alt 'I m m m'
_space_group_IT_number 71
_space_group_name_Hall '-I 2 2'
_cell_length_a 3.855
_cell_length_b 12.481
_cell_length_c 19.047
_cell_angle_alpha 90.00
_cell_angle_beta 90.00
_cell_angle_gamma 90.00
loop_
_atom_site_label
_atom_site_fract_x
_atom_site_fract_y
_atom_site_fract_z
Sr1 0.000 0.149 0.211
Sr2 0.000 0.152 0.402
In1 0.000 0.149 0.000
In2 0.000 0.500 0.417
Cu1 0.000 0.500 0.000
Cu2 0.000 0.500 0.193
N1 0.000 0.000 0.500
N2 0.000 0.349 0.195
```

Top 12 peaks for 2θ from 10° to 90°, in order of rising 2θ:
h k l	Position (°2θ)	d_spacing	I (rel.)
1 3 0	31.64	2.828	947
0 3 5	31.85	2.810	890
1 0 5	33.06	2.710	1000
0 6 0	43.50	2.080	189
2 0 0	47.15	1.928	197
0 0 10	47.75	1.905	138
1 6 5	55.71	1.650	314
2 3 5	58.03	1.589	316
1 3 10	58.42	1.580	231
2 6 0	66.08	1.414	103
2 0 10	69.36	1.355	86
2 6 10	85.55	1.135	82

---

This entry pairs a crystal structure of NaInCu3 with its simulated XRD peak list. Radiation: a wavelength of 1.5418 Å. Structure: a DFT-relaxed cell (PBE, Alexandria).
No peak broadening, texture or thermal motion is included.

Crystal structure
```
data_NaInCu3
_space_group_name_H-M_alt 'R -3 m'
_space_group_IT_number 166
_space_group_name_Hall '-R 3 2"'
_cell_length_a 5.1941
_cell_length_b 5.1941
_cell_length_c 21.7136
_cell_angle_alpha 90.00
_cell_angle_beta 90.00
_cell_angle_gamma 120.00
loop_
_atom_site_label
_atom_site_fract_x
_atom_site_fract_y
_atom_site_fract_z
Na1 0.0000 0.0000 0.1657
In1 0.0000 0.0000 0.4168
Cu1 0.0065 0.5032 0.3790
```

Top 12 peaks for 2θ from 10° to 90°, in order of rising 2θ:
h k l	Position (°2θ)	d_spacing	I (rel.)
0 0 3	12.23	7.238	1000
0 0 6	24.60	3.619	252
1 0 7	35.14	2.554	498
1 1 3	36.77	2.444	169
0 0 9	37.27	2.413	223
0 1 8	38.75	2.324	281
0 2 1	40.31	2.237	764
1 1 6	42.86	2.110	151
0 2 4	43.56	2.078	815
2 0 5	45.41	1.997	714
1 1 12	62.57	1.485	292
2 2 0	72.83	1.299	291

---

This entry pairs a crystal structure of Na17In11Cu with its simulated XRD peak list. Radiation: a wavelength of 1.5418 Å. Structure: a DFT-relaxed cell (PBE, Alexandria).
No peak broadening, texture or thermal motion is included.

Crystal structure
```
data_Na17In11Cu
_space_group_name_H-M_alt 'C 1 m 1'
_space_group_IT_number 8
_space_group_name_Hall 'C -2y'
_cell_length_a 11.681
_cell_length_b 16.747
_cell_length_c 10.149
_cell_angle_alpha 90.00
_cell_angle_beta 124.89
_cell_angle_gamma 90.00
loop_
_atom_site_label
_atom_site_fract_x
_atom_site_fract_y
_atom_site_fract_z
Na1 0.000 0.000 0.000
Na2 0.002 0.000 0.656
Na3 0.068 0.346 0.062
Na4 0.156 0.500 0.308
Na5 0.162 0.155 0.247
Na6 0.178 0.173 0.655
Na7 0.191 0.500 0.936
Na8 0.301 0.296 0.969
Na9 0.406 0.000 0.380
Na10 0.453 0.140 0.654
Na11 0.490 0.203 0.343
In1 0.002 0.185 0.836
In2 0.225 0.409 0.653
In3 0.280 0.092 0.021
In4 0.324 0.316 0.467
In5 0.358 0.000 0.813
In6 0.427 0.411 0.295
Cu1 0.164 0.000 0.495
```

Top 12 peaks for 2θ from 10° to 90°, in order of rising 2θ:
h k l	Position (°2θ)	d_spacing	I (rel.)
0 0 1	10.62	8.328	328
1 1 -1	10.67	8.291	227
1 1 1	18.42	4.816	1000
2 2 -1	18.53	4.789	966
1 5 -2	32.14	2.785	603
1 3 -3	32.23	2.777	505
4 0 -1	32.45	2.759	330
2 6 -1	35.65	2.518	286
2 0 2	35.78	2.510	993
2 0 -4	35.94	2.499	378
1 5 2	38.84	2.319	207
1 5 -3	38.96	2.312	273

---

This entry pairs a crystal structure of NaIn10CuS16 with its simulated XRD peak list. Radiation: a wavelength of 1.5418 Å. Structure: a DFT-relaxed cell (PBE, Alexandria).
No peak broadening, texture or thermal motion is included.

Crystal structure
```
data_NaIn10CuS16
_space_group_name_H-M_alt 'P -4 m 2'
_space_group_IT_number 115
_space_group_name_Hall 'P -4 -2'
_cell_length_a 7.708
_cell_length_b 7.708
_cell_length_c 11.079
_cell_angle_alpha 90.00
_cell_angle_beta 90.00
_cell_angle_gamma 90.00
loop_
_atom_site_label
_atom_site_fract_x
_atom_site_fract_y
_atom_site_fract_z
Na1 0.000 0.000 0.000
In1 0.000 0.268 0.623
In2 0.000 0.500 0.251
In3 0.244 0.500 0.858
Cu1 0.500 0.500 0.500
S1 0.000 0.231 0.384
S2 0.000 0.271 0.855
S3 0.250 0.500 0.621
S4 0.266 0.500 0.113
```

Top 12 peaks for 2θ from 10° to 90°, in order of rising 2θ:
h k l	Position (°2θ)	d_spacing	I (rel.)
1 0 1	14.00	6.327	391
1 1 2	22.89	3.885	184
1 0 3	26.77	3.330	481
2 1 1	27.09	3.291	1000
2 0 2	28.21	3.164	158
0 0 4	32.32	2.770	191
2 2 0	32.87	2.725	397
1 0 5	42.45	2.130	195
3 2 1	43.09	2.099	384
2 2 4	46.76	1.943	653
4 0 0	47.16	1.927	336
6 2 4	87.43	1.116	190

---

This entry pairs a crystal structure of NbInCuTe with its simulated XRD peak list. Radiation: a wavelength of 1.5418 Å. Structure: a DFT-relaxed cell (PBE, Alexandria).
No peak broadening, texture or thermal motion is included.

Crystal structure
```
data_NbInCuTe
_space_group_name_H-M_alt 'C 1 m 1'
_space_group_IT_number 8
_space_group_name_Hall 'C -2y'
_cell_length_a 4.809
_cell_length_b 4.809
_cell_length_c 7.912
_cell_angle_alpha 90.00
_cell_angle_beta 107.54
_cell_angle_gamma 90.00
loop_
_atom_site_label
_atom_site_fract_x
_atom_site_fract_y
_atom_site_fract_z
Nb1 0.000 0.000 0.000
In1 0.301 0.500 0.600
Cu1 0.394 0.000 0.786
Te1 0.097 0.500 0.195
```

Top 12 peaks for 2θ from 10° to 90°, in order of rising 2θ:
h k l	Position (°2θ)	d_spacing	I (rel.)
0 0 1	11.73	7.544	122
0 0 2	23.59	3.772	161
1 1 -1	26.88	3.317	353
0 2 0	37.40	2.404	607
1 1 2	39.94	2.257	1000
2 0 1	44.68	2.028	88
2 2 -1	53.93	1.700	205
3 1 -2	61.26	1.513	69
3 1 1	69.12	1.359	188
3 1 -4	69.23	1.357	187
0 2 5	74.20	1.278	75
2 2 -6	86.28	1.127	73

---

This entry pairs a crystal structure of NbInCuTe with its simulated XRD peak list. Radiation: a wavelength of 1.5418 Å. Structure: a DFT-relaxed cell (PBE, Alexandria).
No peak broadening, texture or thermal motion is included.

Crystal structure
```
data_NbInCuTe
_space_group_name_H-M_alt 'I 4 m m'
_space_group_IT_number 107
_space_group_name_Hall 'I 4 -2'
_cell_length_a 3.433
_cell_length_b 3.433
_cell_length_c 14.265
_cell_angle_alpha 90.00
_cell_angle_beta 90.00
_cell_angle_gamma 90.00
loop_
_atom_site_label
_atom_site_fract_x
_atom_site_fract_y
_atom_site_fract_z
Nb1 0.000 0.000 0.000
In1 0.000 0.000 0.632
Cu1 0.000 0.000 0.211
Te1 0.000 0.000 0.392
```

Top 12 peaks for 2θ from 10° to 90°, in order of rising 2θ:
h k l	Position (°2θ)	d_spacing	I (rel.)
0 0 2	12.41	7.132	134
0 0 4	24.97	3.566	190
1 0 1	26.71	3.338	187
1 0 3	32.16	2.784	611
1 1 0	37.03	2.428	877
1 0 5	41.14	2.194	1000
1 1 4	45.18	2.007	153
2 0 0	53.37	1.717	297
2 1 3	63.69	1.461	166
1 1 8	64.86	1.438	203
2 1 5	69.53	1.352	401
2 2 0	78.87	1.214	131

---

This entry pairs a crystal structure of NbInCuTe with its simulated XRD peak list. Radiation: a wavelength of 1.5418 Å. Structure: a DFT-relaxed cell (PBE, Alexandria).
No peak broadening, texture or thermal motion is included.

Crystal structure
```
data_NbInCuTe
_space_group_name_H-M_alt 'P 1'
_space_group_IT_number 1
_space_group_name_Hall 'P 1'
_cell_length_a 3.553
_cell_length_b 5.188
_cell_length_c 5.648
_cell_angle_alpha 116.28
_cell_angle_beta 90.21
_cell_angle_gamma 109.91
loop_
_atom_site_label
_atom_site_fract_x
_atom_site_fract_y
_atom_site_fract_z
Nb1 0.000 0.000 0.000
In1 0.271 0.546 0.553
Cu1 0.974 0.957 0.486
Te1 0.714 0.430 0.004
```

Top 12 peaks for 2θ from 10° to 90°, in order of rising 2θ:
h k l	Position (°2θ)	d_spacing	I (rel.)
1 0 0	27.16	3.284	287
1 0 -1	29.72	3.006	406
1 -1 1	29.82	2.996	418
-1 1 1	35.35	2.539	453
0 0 2	36.08	2.489	670
1 1 -1	37.64	2.390	514
0 2 -2	40.45	2.230	1000
0 2 0	42.03	2.150	336
1 1 1	50.61	1.803	160
2 -1 0	51.44	1.777	263
-1 2 2	65.67	1.422	162
2 -3 0	68.52	1.369	150

---

This entry pairs a crystal structure of Nd2In8Cu with its simulated XRD peak list. Radiation: a wavelength of 1.5418 Å. Structure: a DFT-relaxed cell (PBE, Alexandria).
No peak broadening, texture or thermal motion is included.

Crystal structure
```
data_Nd2In8Cu
_space_group_name_H-M_alt 'P 4/m m m'
_space_group_IT_number 123
_space_group_name_Hall '-P 4 2'
_cell_length_a 4.740
_cell_length_b 4.740
_cell_length_c 12.332
_cell_angle_alpha 90.00
_cell_angle_beta 90.00
_cell_angle_gamma 90.00
loop_
_atom_site_label
_atom_site_fract_x
_atom_site_fract_y
_atom_site_fract_z
Nd1 0.000 0.000 0.192
In1 0.000 0.500 0.000
In2 0.000 0.500 0.377
In3 0.500 0.500 0.193
Cu1 0.000 0.000 0.500
```

Top 12 peaks for 2θ from 10° to 90°, in order of rising 2θ:
h k l	Position (°2θ)	d_spacing	I (rel.)
1 1 1	27.58	3.235	73
1 1 2	30.35	2.945	389
1 1 3	34.53	2.598	1000
0 0 5	36.43	2.466	193
2 0 0	37.96	2.370	549
1 1 4	39.72	2.269	77
2 0 5	53.63	1.709	249
2 2 0	54.77	1.676	185
3 1 2	63.91	1.457	90
3 1 3	66.38	1.408	285
1 1 8	66.79	1.401	156
2 2 5	67.58	1.386	122

---

This entry pairs a crystal structure of Nd8In2Cu with its simulated XRD peak list. Radiation: a wavelength of 1.5418 Å. Structure: a DFT-relaxed cell (PBE, Alexandria).
No peak broadening, texture or thermal motion is included.

Crystal structure
```
data_Nd8In2Cu
_space_group_name_H-M_alt 'C 1 2/m 1'
_space_group_IT_number 12
_space_group_name_Hall '-C 2y'
_cell_length_a 19.305
_cell_length_b 5.277
_cell_length_c 6.925
_cell_angle_alpha 90.00
_cell_angle_beta 104.77
_cell_angle_gamma 90.00
loop_
_atom_site_label
_atom_site_fract_x
_atom_site_fract_y
_atom_site_fract_z
Nd1 0.014 0.000 0.278
Nd2 0.092 0.500 0.961
Nd3 0.150 0.500 0.478
Nd4 0.209 0.000 0.798
In1 0.182 0.000 0.244
Cu1 0.000 0.500 0.500
```

Top 12 peaks for 2θ from 10° to 90°, in order of rising 2θ:
h k l	Position (°2θ)	d_spacing	I (rel.)
3 1 1	27.68	3.223	370
6 0 -1	28.38	3.144	227
4 0 -2	28.58	3.123	239
5 1 0	29.30	3.048	1000
1 1 -2	30.96	2.889	757
3 1 -2	31.83	2.812	331
1 1 2	33.05	2.710	601
0 2 0	33.97	2.639	891
6 0 1	34.77	2.580	243
5 1 -2	35.46	2.531	270
7 1 -1	37.10	2.423	252
8 2 1	56.95	1.617	307

---

Number 3 is which compound?
InCuSe2N